The following is a calculated X-ray powder pattern of LiZnInBr4. It was derived from DFT lattice parameters and positions (PBE), using Cu Ka.
No peak broadening, texture or thermal motion is included.

Structure:
Lattice parameters (Å, degrees): 6.492 8.453 8.762 90.00 103.73 90.00
Fractional positions:
Li 0.204 0.250 0.319
Li 0.796 0.750 0.681
Zn 0.286 0.750 0.692
Zn 0.714 0.250 0.308
In 0.332 0.250 0.914
In 0.668 0.750 0.086
Br 0.005 0.250 0.535
Br 0.121 0.750 0.919
Br 0.460 0.030 0.268
Br 0.460 0.470 0.268
Br 0.540 0.530 0.732
Br 0.540 0.970 0.732
Br 0.879 0.250 0.081
Br 0.995 0.750 0.465

Main lines, sorted by position (2θ = 10–80°):
two_theta	Rel. int.
15.4	57
25.4	72
26.1	100
27.9	71
29.8	92
42.8	69

***

The following is a calculated X-ray powder pattern of MgInBr4. It was derived from DFT lattice parameters and positions (PBE), using Cu Ka.
No peak broadening, texture or thermal motion is included.

Structure:
Lattice parameters (Å, degrees): 8.083 8.083 7.175 115.99 115.99 28.73
Fractional positions:
Mg 0.000 0.000 0.000
In 0.500 0.500 0.500
Br 0.115 0.115 0.812
Br 0.391 0.391 0.744
Br 0.609 0.609 0.256
Br 0.885 0.885 0.188

Main lines, sorted by position (2θ = 10–80°):
two_theta	Rel. int.
12.7	70
28.0	39
28.5	100
36.3	39
44.1	30
46.9	29

***

The following is a calculated X-ray powder pattern of MgInBr2. It was derived from DFT lattice parameters and positions (PBE), using Cu Ka.
No peak broadening, texture or thermal motion is included.

Structure:
Lattice parameters (Å, degrees): 6.870 6.870 6.036 110.19 110.19 30.46
Fractional positions:
Mg 0.000 0.000 0.000
In 0.695 0.695 0.408
Br 0.375 0.375 0.071
Br 0.569 0.569 0.772

Main lines, sorted by position (2θ = 10–80°):
two_theta	Rel. int.
24.9	100
25.7	66
27.5	57
29.8	52
31.6	37
33.0	67

***

The following is a calculated X-ray powder pattern of MgInBr2. It was derived from DFT lattice parameters and positions (PBE), using Cu Ka.
No peak broadening, texture or thermal motion is included.

Structure:
Lattice parameters (Å, degrees): 11.770 11.770 11.770 18.38 18.38 18.38
Fractional positions:
Mg 0.000 0.000 0.000
In 0.500 0.500 0.500
Br 0.288 0.288 0.288
Br 0.712 0.712 0.712

Main lines, sorted by position (2θ = 10–80°):
two_theta	Rel. int.
15.3	43
23.1	56
29.3	100
30.3	98
37.9	63
46.0	46

***

The following is a calculated X-ray powder pattern of NaMgInBr4. It was derived from DFT lattice parameters and positions (PBE), using Cu Ka.
No peak broadening, texture or thermal motion is included.

Structure:
Lattice parameters (Å, degrees): 7.384 7.672 8.823 90.00 106.37 90.00
Fractional positions:
Na 0.219 0.250 0.059
Na 0.781 0.750 0.941
Mg 0.250 0.750 0.824
Mg 0.750 0.250 0.176
In 0.233 0.250 0.563
In 0.767 0.750 0.437
Br 0.017 0.501 0.777
Br 0.017 0.999 0.777
Br 0.452 0.750 0.640
Br 0.467 0.750 0.098
Br 0.533 0.250 0.902
Br 0.548 0.250 0.360
Br 0.983 0.001 0.223
Br 0.983 0.499 0.223

Main lines, sorted by position (2θ = 10–80°):
two_theta	Rel. int.
26.4	100
29.8	61
30.3	60
31.5	43
31.6	55
45.1	50

***

The following is a calculated X-ray powder pattern of MgIn2PbBr. It was derived from DFT lattice parameters and positions (PBE), using Cu Ka.
No peak broadening, texture or thermal motion is included.

Structure:
Lattice parameters (Å, degrees): 5.963 5.963 5.010 90.00 90.00 90.00
Fractional positions:
Mg 0.000 0.000 0.000
In 0.000 0.500 0.500
In 0.500 0.000 0.500
Pb 0.500 0.500 0.000
Br 0.000 0.000 0.500

Main lines, sorted by position (2θ = 10–80°):
two_theta	Rel. int.
23.2	71
27.7	100
30.0	84
38.2	40
47.4	47
51.8	36

***

The following is a calculated X-ray powder pattern of Rb3Mg2InBr9. It was derived from DFT lattice parameters and positions (PBE), using Cu Ka.
No peak broadening, texture or thermal motion is included.

Structure:
Lattice parameters (Å, degrees): 7.793 7.793 9.567 90.00 90.00 120.00
Fractional positions:
Rb 0.000 0.000 0.000
Rb 0.333 0.667 0.667
Rb 0.667 0.333 0.333
Mg 0.333 0.667 0.156
Mg 0.667 0.333 0.844
In 0.000 0.000 0.500
Br 0.000 0.500 0.000
Br 0.173 0.347 0.327
Br 0.173 0.827 0.327
Br 0.347 0.173 0.673
Br 0.500 0.000 0.000
Br 0.500 0.500 0.000
Br 0.653 0.827 0.327
Br 0.827 0.173 0.673
Br 0.827 0.653 0.673

Main lines, sorted by position (2θ = 10–80°):
two_theta	Rel. int.
28.0	100
32.5	100
46.6	69
55.2	31
58.0	18
77.4	15

***

The following is a calculated X-ray powder pattern of MnIn2Br6. It was derived from DFT lattice parameters and positions (PBE), using Cu Ka.
No peak broadening, texture or thermal motion is included.

Structure:
Lattice parameters (Å, degrees): 7.650 7.650 7.650 57.49 57.49 57.49
Fractional positions:
Mn 0.000 0.000 0.000
In 0.185 0.185 0.185
In 0.496 0.496 0.496
Br 0.042 0.394 0.834
Br 0.239 0.969 0.587
Br 0.394 0.834 0.042
Br 0.587 0.239 0.969
Br 0.834 0.042 0.394
Br 0.969 0.587 0.239

Main lines, sorted by position (2θ = 10–80°):
two_theta	Rel. int.
14.7	27
23.3	17
28.0	100
37.4	58
42.6	35
74.5	19

***

The following is a calculated X-ray powder pattern of Mn3InBr9. It was derived from DFT lattice parameters and positions (PBE), using Cu Ka.
No peak broadening, texture or thermal motion is included.

Structure:
Lattice parameters (Å, degrees): 10.452 10.452 13.363 123.46 123.46 54.59
Fractional positions:
Mn 0.055 0.945 0.500
Mn 0.277 0.516 0.600
Mn 0.516 0.277 0.100
Mn 0.566 0.706 0.452
Mn 0.706 0.566 0.952
Mn 0.945 0.055 0.000
In 0.042 0.491 0.780
In 0.491 0.042 0.280
Br 0.019 0.729 0.502
Br 0.048 0.784 0.832
Br 0.075 0.173 0.714
Br 0.168 0.348 0.591
Br 0.173 0.075 0.214
Br 0.258 0.785 0.383
Br 0.348 0.168 0.091
Br 0.358 0.438 0.953
Br 0.438 0.358 0.453
Br 0.440 0.688 0.791
Br 0.582 0.956 0.480
Br 0.612 0.713 0.142
Br 0.688 0.440 0.291
Br 0.713 0.612 0.642
Br 0.729 0.019 0.002
Br 0.784 0.048 0.332
Br 0.785 0.258 0.883
Br 0.956 0.582 0.980

Main lines, sorted by position (2θ = 10–80°):
two_theta	Rel. int.
11.4	36
16.1	100
22.2	35
25.8	49
26.4	40
27.6	70

***

The following is a calculated X-ray powder pattern of MnIn4Br6. It was derived from DFT lattice parameters and positions (PBE), using Cu Ka.
No peak broadening, texture or thermal motion is included.

Structure:
Lattice parameters (Å, degrees): 9.561 9.561 14.362 115.92 115.92 52.42
Fractional positions:
Mn 0.248 0.752 0.500
Mn 0.752 0.248 0.000
In 0.123 0.330 0.270
In 0.154 0.750 0.897
In 0.330 0.123 0.770
In 0.431 0.706 0.264
In 0.702 0.866 0.080
In 0.706 0.431 0.764
In 0.750 0.154 0.397
In 0.866 0.702 0.580
Br 0.000 0.015 0.107
Br 0.015 0.000 0.607
Br 0.078 0.737 0.308
Br 0.406 0.445 0.529
Br 0.428 0.827 0.870
Br 0.440 0.875 0.535
Br 0.445 0.406 0.029
Br 0.519 0.957 0.246
Br 0.737 0.078 0.808
Br 0.827 0.428 0.370
Br 0.875 0.440 0.035
Br 0.957 0.519 0.746

Main lines, sorted by position (2θ = 10–80°):
two_theta	Rel. int.
19.5	100
24.9	49
25.4	37
26.9	58
31.4	45
35.3	48

***

The following is a calculated X-ray powder pattern of Na3MnIn3Br8. It was derived from DFT lattice parameters and positions (PBE), using Cu Ka.
No peak broadening, texture or thermal motion is included.

Structure:
Lattice parameters (Å, degrees): 8.648 8.648 9.182 118.13 118.13 59.95
Fractional positions:
Na 0.000 0.000 0.000
Na 0.000 0.500 0.000
Na 0.500 0.000 0.000
Mn 0.500 0.500 0.000
In 0.000 0.500 0.500
In 0.500 0.000 0.500
In 0.500 0.500 0.500
Br 0.239 0.239 0.215
Br 0.265 0.718 0.200
Br 0.282 0.282 0.800
Br 0.282 0.735 0.800
Br 0.718 0.265 0.200
Br 0.718 0.718 0.200
Br 0.735 0.282 0.800
Br 0.761 0.761 0.785

Main lines, sorted by position (2θ = 10–80°):
two_theta	Rel. int.
12.4	29
28.4	100
30.7	19
39.4	31
41.8	35
51.3	17

***

The following is a calculated X-ray powder pattern of Mn2InPbBr8. It was derived from DFT lattice parameters and positions (PBE), using Cu Ka.
No peak broadening, texture or thermal motion is included.

Structure:
Lattice parameters (Å, degrees): 7.056 7.056 9.952 90.00 90.00 120.00
Fractional positions:
Mn 0.333 0.667 0.258
Mn 0.667 0.333 0.742
In 0.000 0.000 0.500
Pb 0.000 0.000 0.000
Br 0.002 0.670 0.807
Br 0.330 0.332 0.807
Br 0.332 0.002 0.193
Br 0.333 0.667 0.497
Br 0.667 0.333 0.503
Br 0.668 0.998 0.807
Br 0.670 0.668 0.193
Br 0.998 0.330 0.193

Main lines, sorted by position (2θ = 10–80°):
two_theta	Rel. int.
17.0	43
23.1	45
25.2	26
26.8	86
31.1	99
44.5	100

***

The following is a calculated X-ray powder pattern of Rb3Mn2InBr9. It was derived from DFT lattice parameters and positions (PBE), using Cu Ka.
No peak broadening, texture or thermal motion is included.

Structure:
Lattice parameters (Å, degrees): 7.765 7.765 9.550 90.00 90.00 120.00
Fractional positions:
Rb 0.000 0.000 0.000
Rb 0.333 0.667 0.675
Rb 0.667 0.333 0.325
Mn 0.333 0.667 0.160
Mn 0.667 0.333 0.840
In 0.000 0.000 0.500
Br 0.000 0.500 0.000
Br 0.174 0.348 0.322
Br 0.174 0.826 0.322
Br 0.348 0.174 0.678
Br 0.500 0.000 0.000
Br 0.500 0.500 0.000
Br 0.652 0.826 0.322
Br 0.826 0.174 0.678
Br 0.826 0.652 0.678

Main lines, sorted by position (2θ = 10–80°):
two_theta	Rel. int.
22.9	21
28.1	58
32.6	100
46.7	34
46.8	35
55.5	24